(1)
Starting from a PBE-relaxed structure, the XRD peak list of Na8B15C was calculated for Cu Kα X-rays.
Lines closer than 0.1° are merged.

Cell and atoms:
```
Na8B15C
1.0
8.791 -2.589 0.000
8.791 2.589 0.000
-1.036 0.000 5.938
Na B C
8 15 1
Cartesian
2.134 0.000 0.370
1.617 -0.008 3.342
6.389 0.000 1.113
5.872 -0.001 4.079
10.674 -0.001 1.858
10.158 0.000 4.825
14.413 0.000 5.568
14.930 -0.008 2.596
3.998 0.860 2.224
3.485 0.860 5.196
8.537 1.703 1.470
8.010 1.703 4.467
8.273 0.899 2.969
8.791 0.765 0.000
4.007 -0.864 2.227
3.493 -0.865 5.196
13.062 0.860 0.742
12.549 0.860 3.714
8.273 -0.937 2.969
8.546 -1.634 1.406
8.000 -1.634 4.532
13.054 -0.865 0.742
12.540 -0.864 3.711
8.791 -0.885 0.000
```

Top 10 peaks for 5° ≤ 2θ ≤ 70°, by intensity:
d/Å  2θ/deg  intensity
2.232  40.41  100.0
2.222  40.60  51.6
2.165  41.72  35.2
2.605  34.43  21.4
1.498  61.95  18.0
1.665  55.16  11.3
2.589  34.64  9.5
1.507  61.54  9.3
1.661  55.31  5.2
4.330  20.51  3.0



(2)
Starting from a PBE-relaxed structure, the XRD peak list of Na5B8C2 was calculated for Cu Kα X-rays.
Lines closer than 0.1° are merged.

Cell and atoms:
```
Na5B8C2
1.0
7.334 -2.547 0.000
7.334 2.547 0.000
-2.937 0.000 8.628
Na B C
10 16 4
Cartesian
-0.002 -0.002 2.118
0.001 0.000 6.490
2.932 -0.013 2.147
2.926 -0.011 6.481
5.868 0.007 2.137
5.863 0.007 6.491
8.804 -0.011 2.147
8.799 -0.013 6.481
11.729 0.000 2.138
11.733 -0.002 6.510
1.405 0.818 4.317
5.855 1.634 0.003
4.528 0.922 4.315
5.875 1.634 8.625
1.488 -0.924 4.312
7.203 0.922 4.313
4.330 -0.795 0.001
4.378 -0.806 4.310
10.326 0.818 4.311
7.334 -0.748 0.000
5.850 -1.721 0.006
7.352 -0.806 4.318
5.865 -1.735 4.314
7.400 -0.795 8.627
5.880 -1.721 8.623
10.243 -0.924 4.317
4.401 0.840 0.006
5.865 1.757 4.314
7.334 0.823 0.000
7.329 0.840 8.623
```

Top 10 peaks for 5° ≤ 2θ ≤ 70°, by intensity:
d/Å  2θ/deg  intensity
2.190  41.22  100.0
2.193  41.15  49.1
2.157  41.88  36.6
2.544  35.28  28.8
1.470  63.28  17.3
1.645  55.88  15.7
1.467  63.42  8.6
4.314  20.59  2.1
1.391  67.31  1.9
1.389  67.44  0.9



(3)
Starting from a PBE-relaxed structure, the XRD peak list of Na5B8C2 was calculated for Cu Kα X-rays.
Lines closer than 0.1° are merged.

Cell and atoms:
```
Na5B8C2
1.0
8.661 0.000 0.000
0.000 1.406 13.231
0.000 -1.406 13.231
Na B C
10 16 4
Cartesian
2.139 0.000 0.000
2.144 0.000 15.831
2.166 0.000 5.250
2.174 0.000 21.171
2.190 0.000 10.623
6.471 0.000 10.623
6.487 0.000 21.171
6.495 0.000 5.250
6.517 0.000 15.831
6.522 0.000 0.000
0.000 0.000 1.864
0.000 0.000 7.133
0.000 0.000 8.799
0.000 0.000 12.305
0.000 0.000 14.044
0.000 0.000 17.499
0.000 0.000 19.249
0.000 0.000 23.159
4.330 0.000 3.225
4.330 0.000 7.132
4.330 0.000 8.825
4.330 0.000 14.084
4.330 0.000 17.554
4.330 0.000 19.223
4.330 0.000 23.126
4.330 0.000 24.898
0.000 0.000 3.456
0.000 0.000 24.704
4.330 0.000 1.666
4.330 0.000 12.466
```

Top 10 peaks for 5° ≤ 2θ ≤ 70°, by intensity:
d/Å  2θ/deg  intensity
2.154  41.94  100.0
2.258  39.93  49.2
2.165  41.71  37.8
1.494  62.11  17.5
2.483  36.17  16.5
2.646  33.88  13.8
1.632  56.38  9.5
1.406  66.49  7.6
1.676  54.78  6.9
13.231  6.68  4.4



(4)
Starting from a PBE-relaxed structure, the XRD peak list of Na5B9C was calculated for Cu Kα X-rays.
Lines closer than 0.1° are merged.

Cell and atoms:
```
Na5B9C
1.0
2.986 0.000 0.000
-1.493 2.586 0.000
0.000 0.000 43.120
Na B C
10 18 2
Cartesian
0.000 0.000 2.160
0.000 0.000 6.373
0.000 0.000 10.702
0.000 0.000 15.051
0.000 0.000 19.390
0.000 0.000 23.730
0.000 0.000 28.069
0.000 0.000 32.418
0.000 0.000 36.748
0.000 0.000 40.960
0.000 1.724 0.000
0.000 1.724 4.272
0.000 1.724 8.539
0.000 1.724 12.880
0.000 1.724 17.218
0.000 1.724 21.560
0.000 1.724 25.902
0.000 1.724 30.240
0.000 1.724 34.581
0.000 1.724 38.849
1.493 0.862 0.000
1.493 0.862 8.539
1.493 0.862 12.880
1.493 0.862 17.218
1.493 0.862 21.560
1.493 0.862 25.902
1.493 0.862 30.240
1.493 0.862 34.581
1.493 0.862 4.273
1.493 0.862 38.848
```

Top 7 peaks for 5° ≤ 2θ ≤ 70°, by intensity:
d/Å  2θ/deg  intensity
2.218  40.69  100.0
2.156  41.90  23.3
2.586  34.69  20.1
1.493  62.18  18.2
1.656  55.49  10.4
1.411  66.25  1.9
4.312  20.60  1.8



(5)
Starting from a PBE-relaxed structure, the XRD peak list of Na5B8C2 was calculated for Cu Kα X-rays.
Lines closer than 0.1° are merged.

Cell and atoms:
```
Na5B8C2
1.0
9.004 -1.425 0.000
9.004 1.425 0.000
-5.232 0.000 12.561
Na B C
10 16 4
Cartesian
0.000 0.000 0.000
-2.581 0.000 6.260
1.489 0.000 5.033
-1.074 0.000 11.286
2.979 0.000 10.060
5.641 0.000 3.781
9.752 0.000 2.512
7.178 0.000 8.766
11.264 0.000 7.538
13.898 0.000 1.264
-3.723 0.000 10.053
2.580 0.000 1.096
-0.020 0.000 7.414
3.055 0.000 2.680
4.126 0.000 6.194
1.517 0.000 12.527
4.615 0.000 7.850
8.155 0.000 4.661
5.583 0.000 11.046
11.283 0.000 0.059
8.681 0.000 6.424
9.699 0.000 9.764
12.357 0.000 3.654
10.220 0.000 11.517
12.851 0.000 5.280
16.449 0.000 2.300
-1.078 0.000 3.891
0.459 0.000 8.980
7.212 0.000 1.517
13.830 0.000 8.573
```

Top 10 peaks for 5° ≤ 2θ ≤ 70°, by intensity:
d/Å  2θ/deg  intensity
2.166  41.71  100.0
2.156  41.90  37.1
2.245  40.17  25.5
2.237  40.32  25.2
1.490  62.30  18.1
2.504  35.86  17.5
2.623  34.19  12.2
1.425  65.50  8.0
1.635  56.25  4.9
1.632  56.36  4.9



(6)
Starting from a PBE-relaxed structure, the XRD peak list of Na5B9C was calculated for Cu Kα X-rays.
Lines closer than 0.1° are merged.

Cell and atoms:
```
Na5B9C
1.0
11.866 -1.409 0.000
11.866 1.409 0.000
-2.662 0.000 9.959
Na B C
10 18 2
Cartesian
0.000 0.000 0.000
0.511 0.000 6.981
3.712 0.000 3.986
6.847 0.000 0.992
7.338 0.000 7.952
10.535 0.000 4.980
13.732 0.000 2.007
14.224 0.000 8.968
17.359 0.000 5.973
20.559 0.000 2.979
-0.248 0.000 2.944
0.888 0.000 4.166
0.239 0.000 9.878
4.044 0.000 1.165
3.250 0.000 6.714
4.429 0.000 7.990
7.567 0.000 4.991
9.715 0.000 0.898
10.857 0.000 2.123
10.214 0.000 7.836
11.355 0.000 9.061
13.504 0.000 4.969
16.642 0.000 1.969
17.821 0.000 3.246
17.026 0.000 8.794
20.831 0.000 0.082
20.183 0.000 5.794
21.319 0.000 7.015
6.508 0.000 3.853
14.562 0.000 6.106
```

Top 10 peaks for 5° ≤ 2θ ≤ 70°, by intensity:
d/Å  2θ/deg  intensity
2.173  41.56  100.0
2.165  41.73  98.4
2.179  41.45  72.8
2.312  38.95  49.1
2.293  39.30  47.9
1.522  60.88  36.5
2.500  35.91  32.1
2.712  33.03  30.6
1.409  66.35  14.6
1.646  55.85  9.3



(7)
Starting from a PBE-relaxed structure, the XRD peak list of Na5B8C2 was calculated for Cu Kα X-rays.
Lines closer than 0.1° are merged.

Cell and atoms:
```
Na5B8C2
1.0
8.621 0.000 0.000
0.000 1.422 13.142
0.000 -1.422 13.142
Na B C
10 16 4
Cartesian
2.102 0.000 0.000
2.126 0.000 5.275
2.144 0.000 15.771
2.152 0.000 10.531
2.154 0.000 21.066
6.469 0.000 10.531
6.467 0.000 21.066
6.477 0.000 15.771
6.495 0.000 5.275
6.518 0.000 0.000
0.000 0.000 1.864
0.000 0.000 7.210
0.000 0.000 12.125
0.000 0.000 13.973
0.000 0.000 17.463
0.000 0.000 19.304
0.000 0.000 22.791
4.310 0.000 1.716
4.310 0.000 3.362
4.310 0.000 7.121
4.310 0.000 8.822
4.310 0.000 13.823
4.310 0.000 17.582
4.310 0.000 19.242
4.310 0.000 22.922
4.310 0.000 24.657
0.000 0.000 3.508
0.000 0.000 8.836
0.000 0.000 24.463
4.310 0.000 12.267
```

Top 10 peaks for 5° ≤ 2θ ≤ 70°, by intensity:
d/Å  2θ/deg  intensity
2.164  41.74  100.0
2.244  40.18  51.3
2.155  41.92  37.2
1.492  62.22  18.2
2.502  35.89  17.6
2.628  34.11  12.4
1.633  56.34  9.8
1.422  65.64  7.9
1.667  55.11  6.2
1.410  66.29  2.3



(8)
Starting from a PBE-relaxed structure, the XRD peak list of Na5B8C2 was calculated for Cu Kα X-rays.
Lines closer than 0.1° are merged.

Cell and atoms:
```
Na5B8C2
1.0
9.049 -1.416 0.000
9.049 1.416 0.000
-5.247 0.000 12.588
Na B C
10 16 4
Cartesian
0.000 0.000 0.000
15.485 0.000 6.262
1.522 0.000 4.993
-1.109 0.000 11.303
3.037 0.000 10.059
5.686 0.000 3.766
7.182 0.000 8.765
9.811 0.000 2.496
13.955 0.000 1.243
11.357 0.000 7.503
-1.027 0.000 4.037
2.556 0.000 0.984
0.374 0.000 8.694
3.054 0.000 2.598
4.158 0.000 6.197
1.538 0.000 12.531
4.635 0.000 7.772
7.302 0.000 1.668
5.590 0.000 10.984
11.320 0.000 0.052
8.729 0.000 6.385
9.757 0.000 9.805
12.409 0.000 3.586
10.250 0.000 11.429
12.889 0.000 5.166
13.978 0.000 8.766
-3.669 0.000 10.251
-0.079 0.000 7.197
8.260 0.000 4.827
16.588 0.000 2.454
```

Top 10 peaks for 5° ≤ 2θ ≤ 70°, by intensity:
d/Å  2θ/deg  intensity
2.163  41.76  100.0
2.160  41.82  57.0
2.248  40.11  55.8
1.491  62.29  19.7
2.493  36.02  19.2
2.630  34.09  15.0
1.635  56.27  11.0
1.416  65.99  8.8
1.672  54.92  7.7
1.409  66.32  2.9



(9)
Starting from a PBE-relaxed structure, the XRD peak list of Na5B8C2 was calculated for Cu Kα X-rays.
Lines closer than 0.1° are merged.

Cell and atoms:
```
Na5B8C2
1.0
11.700 -1.416 0.000
11.700 1.416 0.000
-2.839 0.000 9.726
Na B C
10 16 4
Cartesian
0.000 0.000 0.000
0.426 0.000 6.786
3.563 0.000 3.858
6.701 0.000 0.947
7.098 0.000 7.744
10.295 0.000 4.831
13.506 0.000 1.918
13.857 0.000 8.735
17.015 0.000 5.796
20.179 0.000 2.875
-0.356 0.000 2.756
0.763 0.000 3.973
0.023 0.000 9.598
3.240 0.000 6.729
4.387 0.000 8.013
6.176 0.000 3.533
7.380 0.000 4.868
9.481 0.000 0.768
10.603 0.000 1.972
10.094 0.000 7.822
13.160 0.000 4.740
14.289 0.000 5.998
16.216 0.000 1.690
20.481 0.000 0.005
19.860 0.000 5.719
21.009 0.000 6.966
3.966 0.000 1.075
11.152 0.000 8.977
17.327 0.000 2.919
16.594 0.000 8.588
```

Top 10 peaks for 5° ≤ 2θ ≤ 70°, by intensity:
d/Å  2θ/deg  intensity
2.161  41.80  100.0
2.248  40.11  35.5
1.491  62.25  12.6
2.494  36.01  12.2
2.631  34.07  9.6
1.416  65.97  5.6
1.671  54.96  4.9
1.634  56.29  3.6
1.633  56.34  3.5
1.410  66.30  1.9